[1]
Structure and simulated X-ray diffraction stick pattern of Ho6InCo2 (a structure optimized by DFT (PBE); Cu Kα X-rays).
No peak broadening, texture or thermal motion is included.

Structural model:
Cell: 8.342 8.342 8.342 Å, 111.63 110.09 106.73°
Fractional coordinates of all 18 atoms:
Ho (0.019, 0.231, 0.788)
Ho (0.188, 0.288, 0.476)
Ho (0.188, 0.712, 0.899)
Ho (0.315, 0.012, 0.697)
Ho (0.315, 0.618, 0.303)
Ho (0.443, 0.231, 0.212)
Ho (0.557, 0.769, 0.788)
Ho (0.685, 0.382, 0.697)
Ho (0.685, 0.988, 0.303)
Ho (0.812, 0.288, 0.101)
Ho (0.812, 0.712, 0.524)
Ho (0.981, 0.769, 0.212)
In (0.000, 0.000, 0.000)
In (0.500, 0.500, 0.000)
Co (0.112, 0.612, 0.500)
Co (0.378, 0.000, 0.378)
Co (0.622, 0.000, 0.622)
Co (0.888, 0.388, 0.500)

Main lines, by angle (2θ from 10° to 80°):
2θ = 30.1°, 2.970 Å, rel. 188; 2θ = 32.2°, 2.777 Å, rel. 1000; 2θ = 34.4°, 2.606 Å, rel. 279; 2θ = 34.8°, 2.580 Å, rel. 331; 2θ = 35.2°, 2.548 Å, rel. 252; 2θ = 56.4°, 1.631 Å, rel. 193; 2θ = 59.1°, 1.563 Å, rel. 181; 2θ = 60.2°, 1.537 Å, rel. 198


[2]
Structure and simulated X-ray diffraction stick pattern of Y2SiS (a structure optimized by DFT (PBE); Cu Kα X-rays).
No peak broadening, texture or thermal motion is included.

Structural model:
Cell: 7.058 7.058 7.058 Å, 33.09 33.09 33.09°
Fractional coordinates of all 4 atoms:
Y (0.249, 0.249, 0.249)
Y (0.751, 0.751, 0.751)
Si (0.500, 0.500, 0.500)
S (0.000, 0.000, 0.000)

Main lines, by angle (2θ from 10° to 80°):
2θ = 26.8°, 3.332 Å, rel. 118; 2θ = 27.1°, 3.288 Å, rel. 342; 2θ = 31.3°, 2.857 Å, rel. 1000; 2θ = 44.6°, 2.030 Å, rel. 358; 2θ = 45.1°, 2.010 Å, rel. 347; 2θ = 55.9°, 1.644 Å, rel. 179; 2θ = 73.9°, 1.283 Å, rel. 153; 2θ = 74.6°, 1.273 Å, rel. 149


[3]
Structure and simulated X-ray diffraction stick pattern of Rb4Tm3ScTe8 (a structure optimized by DFT (PBE); Cu Kα X-rays).
No peak broadening, texture or thermal motion is included.

Structural model:
Cell: 9.956 9.956 9.956 Å, 53.09 53.09 53.09°
Fractional coordinates of all 16 atoms:
Rb (0.000, 0.000, 0.000)
Rb (0.000, 0.500, 0.500)
Rb (0.500, 0.000, 0.500)
Rb (0.500, 0.500, 0.000)
Tm (0.000, 0.000, 0.500)
Tm (0.000, 0.500, 0.000)
Tm (0.500, 0.000, 0.000)
Sc (0.500, 0.500, 0.500)
Te (0.233, 0.233, 0.233)
Te (0.239, 0.728, 0.728)
Te (0.272, 0.272, 0.761)
Te (0.272, 0.761, 0.272)
Te (0.728, 0.239, 0.728)
Te (0.728, 0.728, 0.239)
Te (0.761, 0.272, 0.272)
Te (0.767, 0.767, 0.767)

Main lines, by angle (2θ from 10° to 80°):
2θ = 10.4°, 8.528 Å, rel. 266; 2θ = 27.0°, 3.301 Å, rel. 1000; 2θ = 33.8°, 2.652 Å, rel. 152; 2θ = 36.5°, 2.461 Å, rel. 319; 2θ = 40.6°, 2.225 Å, rel. 372; 2θ = 49.4°, 1.845 Å, rel. 189; 2θ = 55.7°, 1.651 Å, rel. 131; 2θ = 65.8°, 1.420 Å, rel. 172


[4]
Structure and simulated X-ray diffraction stick pattern of TaAlTl (a structure optimized by DFT (PBE); Cu Kα X-rays).
No peak broadening, texture or thermal motion is included.

Structural model:
Cell: 4.833 4.833 2.858 Å, 90.00 90.00 120.00°
Fractional coordinates of all 3 atoms:
Ta (0.000, 0.000, 0.000)
Al (0.333, 0.667, 0.500)
Tl (0.667, 0.333, 0.500)

Main lines, by angle (2θ from 10° to 80°):
2θ = 21.2°, 4.185 Å, rel. 533; 2θ = 37.2°, 2.416 Å, rel. 815; 2θ = 38.1°, 2.360 Å, rel. 1000; 2θ = 54.3°, 1.688 Å, rel. 365; 2θ = 67.1°, 1.395 Å, rel. 148; 2θ = 67.7°, 1.384 Å, rel. 379; 2θ = 77.6°, 1.230 Å, rel. 197; 2θ = 79.3°, 1.208 Å, rel. 93